LiMgRe2: simulated X-ray diffraction stick pattern (CuKα), based on a DFT-relaxed cell (GGA-PBE, Alexandria).

abc: 5.3113 5.3113 2.6203
angles: 97.59 97.59 121.39
Element x y z (fractional)
Li 0.0000 0.0000 0.0000
Mg 0.5000 0.5000 0.0000
Re 0.0000 0.5000 0.5000
Re 0.5000 0.0000 0.5000

Most intense lines, 10 to 90 degrees two-theta, in order of rising 2θ:
19.16 deg, I = 100
35.58 deg, I = 22
35.88 deg, I = 21
38.89 deg, I = 24
40.72 deg, I = 42
40.98 deg, I = 41
43.52 deg, I = 17
47.95 deg, I = 19
53.73 deg, I = 14
59.77 deg, I = 14

=====

Ta2Os3Ru2: simulated X-ray diffraction stick pattern (CuKα), based on a DFT-relaxed cell (GGA-PBE, Alexandria).

abc: 4.3768 4.7788 5.9864
angles: 104.01 111.24 90.05
Element x y z (fractional)
Ta 0.1115 0.2654 0.2240
Ta 0.8885 0.7346 0.7760
Os 0.2472 0.8352 0.4947
Os 0.5000 0.0000 0.0000
Os 0.7528 0.1648 0.5053
Ru 0.3804 0.3899 0.7634
Ru 0.6196 0.6101 0.2366

Most intense lines, 10 to 90 degrees two-theta, in order of rising 2θ:
33.89 deg, I = 39
34.13 deg, I = 17
34.23 deg, I = 17
41.18 deg, I = 100
41.25 deg, I = 62
43.17 deg, I = 86
46.43 deg, I = 22
46.57 deg, I = 22
76.53 deg, I = 18
82.31 deg, I = 16

=====

Copy entry 2 word for word.
Ta2Os3Ru2: simulated X-ray diffraction stick pattern (CuKα), based on a DFT-relaxed cell (GGA-PBE, Alexandria).

abc: 4.3768 4.7788 5.9864
angles: 104.01 111.24 90.05
Element x y z (fractional)
Ta 0.1115 0.2654 0.2240
Ta 0.8885 0.7346 0.7760
Os 0.2472 0.8352 0.4947
Os 0.5000 0.0000 0.0000
Os 0.7528 0.1648 0.5053
Ru 0.3804 0.3899 0.7634
Ru 0.6196 0.6101 0.2366

Most intense lines, 10 to 90 degrees two-theta, in order of rising 2θ:
33.89 deg, I = 39
34.13 deg, I = 17
34.23 deg, I = 17
41.18 deg, I = 100
41.25 deg, I = 62
43.17 deg, I = 86
46.43 deg, I = 22
46.57 deg, I = 22
76.53 deg, I = 18
82.31 deg, I = 16